This entry pairs a crystal structure of Sm2Ho with its simulated XRD peak list. Radiation: Cu Kα. Structure: a PBE-relaxed structure.

Structure:
Lattice parameters (Å, degrees): 3.6455 17.4727 6.2040 90.00 90.00 90.00
Atoms (fractional coordinates):
Sm: 0.0000 0.1630 0.0000
Sm: 0.0000 0.3370 0.5000
Sm: 0.0000 0.6630 0.5000
Sm: 0.0000 0.8370 0.0000
Sm: 0.5000 0.1630 0.5000
Sm: 0.5000 0.3370 0.0000
Sm: 0.5000 0.6630 0.0000
Sm: 0.5000 0.8370 0.5000
Ho: 0.0000 0.0000 0.3303
Ho: 0.0000 0.5000 0.8303
Ho: 0.5000 0.0000 0.8303
Ho: 0.5000 0.5000 0.3303

The 12 most intense peaks (2θ from 10° to 80°), by intensity:
32.4 deg, d 2.766, I 1000
30.7 deg, d 2.912, I 372
28.8 deg, d 3.097, I 351
30.6 deg, d 2.923, I 247
55.6 deg, d 1.652, I 210
35.5 deg, d 2.529, I 208
59.8 deg, d 1.546, I 186
51.0 deg, d 1.789, I 174
63.8 deg, d 1.459, I 109
50.0 deg, d 1.823, I 97
57.6 deg, d 1.599, I 95
42.6 deg, d 2.123, I 91